Record 1
Structure and computed X-ray diffraction stick pattern of Ho6PaS8 (a PBE-relaxed structure; Cu Kα X-rays).

Top 10 peaks for 2θ = 10–90°, by angle:
(1 1 1), 13.99°, rel. 22; (3 1 1), 26.96°, rel. 16; (2 2 2), 28.19°, rel. 78; (4 0 0), 32.66°, rel. 100; (4 4 0), 46.86°, rel. 72; (6 2 2), 55.59°, rel. 38; (4 4 4), 58.29°, rel. 25; (6 6 2), 75.58°, rel. 16; (8 4 0), 77.91°, rel. 32; (8 4 4), 87.06°, rel. 25

Crystal structure
```
data_Ho6PaS8
_cell_length_a 10.9672
_cell_length_b 10.9672
_cell_length_c 10.9672
_cell_angle_alpha 90.00
_cell_angle_beta 90.00
_cell_angle_gamma 90.00
_symmetry_space_group_name_H-M 'F m -3 m'
_symmetry_Int_Tables_number 225
_symmetry_space_group_name_Hall '-F 4 2 3'
loop_
_atom_site_label
_atom_site_type_symbol
_atom_site_fract_x
_atom_site_fract_y
_atom_site_fract_z
Ho1 Ho 0.0000 0.2500 0.2500
Pa1 Pa 0.0000 0.0000 0.0000
S1 S 0.0000 0.0000 0.2539
S2 S 0.2500 0.2500 0.2500
```

Record 2
Structure and computed X-ray diffraction stick pattern of HoPaS4 (a PBE-relaxed structure; Cu Kα X-rays).

Top 10 peaks for 2θ = 10–90°, by angle:
(0 2 0), 19.91°, rel. 67; (2 0 0), 20.29°, rel. 62; (1 1 1), 25.82°, rel. 100; (2 2 0), 28.58°, rel. 27; (1 3 1), 38.68°, rel. 55; (3 1 1), 39.10°, rel. 51; (4 0 0), 41.26°, rel. 14; (0 0 2), 43.73°, rel. 14; (4 2 0), 46.22°, rel. 14; (3 3 1), 48.97°, rel. 38

Crystal structure
```
data_HoPaS4
_cell_length_a 8.7517
_cell_length_b 8.9178
_cell_length_c 4.1399
_cell_angle_alpha 90.00
_cell_angle_beta 90.00
_cell_angle_gamma 90.00
_symmetry_space_group_name_H-M 'C m m m'
_symmetry_Int_Tables_number 65
_symmetry_space_group_name_Hall '-C 2 2'
loop_
_atom_site_label
_atom_site_type_symbol
_atom_site_fract_x
_atom_site_fract_y
_atom_site_fract_z
Ho1 Ho 0.0000 0.0000 0.0000
Pa1 Pa 0.0000 0.5000 0.5000
S1 S 0.0000 0.3112 0.0000
S2 S 0.2007 0.0000 0.5000
```

Record 3
Structure and computed X-ray diffraction stick pattern of Ho4PaS5 (a PBE-relaxed structure; Cu Kα X-rays).

Top 10 peaks for 2θ = 10–90°, by angle:
(0 1 5), 27.96°, rel. 45; (1 1 0), 28.29°, rel. 44; (0 2 0), 32.59°, rel. 100; (0 0 10), 46.30°, rel. 12; (1 2 5), 46.76°, rel. 48; (1 1 10), 55.15°, rel. 14; (2 1 5), 55.73°, rel. 14; (0 2 10), 57.77°, rel. 13; (2 2 0), 58.52°, rel. 12; (1 4 5), 77.72°, rel. 22

Crystal structure
```
data_Ho4PaS5
_cell_length_a 3.8532
_cell_length_b 5.4923
_cell_length_c 19.6086
_cell_angle_alpha 90.00
_cell_angle_beta 90.00
_cell_angle_gamma 90.00
_symmetry_space_group_name_H-M 'I m m m'
_symmetry_Int_Tables_number 71
_symmetry_space_group_name_Hall '-I 2 2'
loop_
_atom_site_label
_atom_site_type_symbol
_atom_site_fract_x
_atom_site_fract_y
_atom_site_fract_z
Ho1 Ho 0.0000 0.0000 0.0983
Ho2 Ho 0.0000 0.0000 0.3036
Pa1 Pa 0.0000 0.0000 0.5000
S1 S 0.0000 0.5000 0.1009
S2 S 0.0000 0.5000 0.2988
S3 S 0.0000 0.5000 0.5000
```

Record 4
Structure and computed X-ray diffraction stick pattern of Ho6PaS12 (a PBE-relaxed structure; Cu Kα X-rays).

Top 10 peaks for 2θ = 10–90°, by angle:
(0 1 2), 17.97°, rel. 11; (0 0 3), 23.78°, rel. 28; (3 -1 1), 24.06°, rel. 100; (1 2 2), 27.77°, rel. 27; (3 -1 4), 39.50°, rel. 32; (4 1 0), 39.86°, rel. 36; (2 3 2), 41.21°, rel. 13; (5 -4 3), 46.94°, rel. 21; (2 4 1), 47.10°, rel. 17; (4 2 2), 49.27°, rel. 10

Crystal structure
```
data_Ho6PaS12
_cell_length_a 11.9685
_cell_length_b 11.9685
_cell_length_c 11.2242
_cell_angle_alpha 90.00
_cell_angle_beta 90.00
_cell_angle_gamma 120.00
_symmetry_space_group_name_H-M 'R -3'
_symmetry_Int_Tables_number 148
_symmetry_space_group_name_Hall '-R 3'
loop_
_atom_site_label
_atom_site_type_symbol
_atom_site_fract_x
_atom_site_fract_y
_atom_site_fract_z
Ho1 Ho 0.0440 0.7785 0.1381
Pa1 Pa 0.0000 0.0000 0.5000
S1 S 0.0312 0.8163 0.8940
S2 S 0.0444 0.8385 0.3790
```

Record 5
Structure and computed X-ray diffraction stick pattern of Ho2Pa2Se2S5 (a PBE-relaxed structure; Cu Kα X-rays).

Top 10 peaks for 2θ = 10–90°, by angle:
(0 0 4), 15.12°, rel. 76; (1 0 1), 17.12°, rel. 32; (1 1 0), 23.69°, rel. 100; (1 0 5), 25.34°, rel. 33; (2 0 0), 33.75°, rel. 72; (2 0 4), 37.17°, rel. 33; (1 0 9), 38.49°, rel. 73; (2 2 0), 48.48°, rel. 26; (2 1 9), 52.11°, rel. 62; (3 2 9), 73.91°, rel. 22

Crystal structure
```
data_Ho2Pa2Se2S5
_cell_length_a 5.3113
_cell_length_b 5.3113
_cell_length_c 23.4439
_cell_angle_alpha 90.00
_cell_angle_beta 90.00
_cell_angle_gamma 90.00
_symmetry_space_group_name_H-M 'I 4/m m m'
_symmetry_Int_Tables_number 139
_symmetry_space_group_name_Hall '-I 4 2'
loop_
_atom_site_label
_atom_site_type_symbol
_atom_site_fract_x
_atom_site_fract_y
_atom_site_fract_z
Ho1 Ho 0.0000 0.0000 0.1589
Pa1 Pa 0.0000 0.0000 0.3889
Se1 Se 0.0000 0.0000 0.2737
S1 S 0.0000 0.0000 0.5000
S2 S 0.0000 0.5000 0.1186
```

Record 6
Structure and computed X-ray diffraction stick pattern of YHo2PaS4 (a PBE-relaxed structure; Cu Kα X-rays).

Top 10 peaks for 2θ = 10–90°, by angle:
(2 0 0), 27.93°, rel. 42; (1 1 -1), 28.22°, rel. 41; (1 1 1), 32.53°, rel. 100; (2 0 2), 46.28°, rel. 12; (3 1 -1), 46.67°, rel. 48; (3 1 1), 55.09°, rel. 14; (2 2 0), 55.59°, rel. 13; (4 0 0), 57.71°, rel. 13; (2 2 -2), 58.36°, rel. 12; (4 2 0), 77.56°, rel. 22

Crystal structure
```
data_YHo2PaS4
_cell_length_a 6.7570
_cell_length_b 3.8641
_cell_length_c 6.7598
_cell_angle_alpha 90.00
_cell_angle_beta 109.02
_cell_angle_gamma 90.00
_symmetry_space_group_name_H-M 'P 1 2/m 1'
_symmetry_Int_Tables_number 10
loop_
_symmetry_equiv_pos_as_xyz
'x,y,z'
'-x,-y,-z'
'-x,y,-z'
'x,-y,z'
loop_
_atom_site_label
_atom_site_type_symbol
_atom_site_fract_x
_atom_site_fract_y
_atom_site_fract_z
Y1 Y 0.0000 0.0000 0.0000
Ho1 Ho 0.5000 0.0000 0.5000
Ho2 Ho 0.5000 0.5000 0.0000
Pa1 Pa 0.0000 0.5000 0.5000
S1 S 0.2531 0.5000 0.2509
S2 S 0.2545 0.0000 0.7526
```

Record 7
Structure and computed X-ray diffraction stick pattern of Ho2PaSe5 (a PBE-relaxed structure; Cu Kα X-rays).

Top 10 peaks for 2θ = 10–90°, by angle:
(0 2 0), 18.57°, rel. 53; (1 1 3), 25.48°, rel. 39; (0 2 4), 30.02°, rel. 20; (2 0 0), 32.04°, rel. 56; (0 0 6), 35.38°, rel. 36; (1 3 3), 37.00°, rel. 100; (2 2 0), 37.29°, rel. 19; (2 0 6), 48.47°, rel. 30; (3 3 3), 60.40°, rel. 24; (2 6 6), 78.79°, rel. 14

Crystal structure
```
data_Ho2PaSe5
_cell_length_a 5.5867
_cell_length_b 9.5554
_cell_length_c 15.2219
_cell_angle_alpha 90.00
_cell_angle_beta 90.00
_cell_angle_gamma 90.00
_symmetry_space_group_name_H-M 'F m m m'
_symmetry_Int_Tables_number 69
_symmetry_space_group_name_Hall '-F 2 2'
loop_
_atom_site_label
_atom_site_type_symbol
_atom_site_fract_x
_atom_site_fract_y
_atom_site_fract_z
Ho1 Ho 0.0000 0.0000 0.1813
Pa1 Pa 0.0000 0.0000 0.5000
Se1 Se 0.0000 0.0000 0.0000
Se2 Se 0.0000 0.1651 0.3455
```

Record 8
Structure and computed X-ray diffraction stick pattern of Ho2Pa2Se5 (a PBE-relaxed structure; Cu Kα X-rays).

Top 10 peaks for 2θ = 10–90°, by angle:
(0 0 3), 13.79°, rel. 45; (1 0 0), 25.54°, rel. 55; (1 0 1), 25.96°, rel. 31; (0 1 2), 27.19°, rel. 51; (1 0 3), 29.13°, rel. 100; (1 0 4), 31.67°, rel. 32; (0 1 5), 34.69°, rel. 66; (1 0 7), 41.81°, rel. 95; (1 1 0), 45.01°, rel. 76; (2 1 7), 80.83°, rel. 29

Crystal structure
```
data_Ho2Pa2Se5
_cell_length_a 4.0280
_cell_length_b 4.0280
_cell_length_c 19.2655
_cell_angle_alpha 90.00
_cell_angle_beta 90.00
_cell_angle_gamma 120.00
_symmetry_space_group_name_H-M 'P -3 m 1'
_symmetry_Int_Tables_number 164
_symmetry_space_group_name_Hall '-P 3 2"'
loop_
_atom_site_label
_atom_site_type_symbol
_atom_site_fract_x
_atom_site_fract_y
_atom_site_fract_z
Ho1 Ho 0.3333 0.6667 0.0879
Pa1 Pa 0.3333 0.6667 0.6802
Se1 Se 0.0000 0.0000 0.0000
Se2 Se 0.3333 0.6667 0.4035
Se3 Se 0.3333 0.6667 0.8293
```